Computed powder X-ray diffraction pattern
Compound: Pm2SmZn
Radiation: λ = 1.5418 Å (Cu Kα)
Structure: a crystal structure in Alexandria, relaxed with PBE
Lines closer than 0.1° are merged.

Most intense lines, 10 to 90 degrees two-theta, by angle:
| Position (°2θ) | I_rel |
| --- | --- |
| 19.95 | 4.9 |
| 32.86 | 100.0 |
| 47.15 | 18.2 |
| 58.66 | 37.7 |
| 68.90 | 11.6 |
| 78.46 | 16.1 |

Structural model:
abc: 5.451 5.451 5.451
angles: 60.00 60.00 60.00
Element x y z (fractional)
Pm: 0.000 0.000 0.000
Pm: 0.250 0.250 0.250
Sm: 0.500 0.500 0.500
Zn: 0.750 0.750 0.750